Theoretical XRD peak list
Compound: Ac7Tl4Sn
Radiation: Cu Kα
Structure: the PBE geometry in Alexandria
Neutral-atom scattering factors, no anomalous dispersion.

Crystal structure
Cell lengths 18.253, 6.225, 9.544 Å; angles 90.00, 120.84, 90.00 degrees
Space group C2/m (No. 12)
Asymmetric unit:
Ac: 0.000 0.000 0.000 (multiplicity 2)
Ac: 0.072 0.500 0.399 (multiplicity 4)
Ac: 0.160 0.500 0.918 (multiplicity 4)
Ac: 0.218 0.000 0.616 (multiplicity 4)
Tl: 0.051 0.000 0.694 (multiplicity 4)
Tl: 0.213 0.000 0.246 (multiplicity 4)
Sn: 0.000 0.500 0.000 (multiplicity 2)

Main lines, low angle first (2θ = 10–80°):
2theta	d (Å)	I/Imax
24.23	3.673	12
28.40	3.142	31
28.59	3.123	33
28.69	3.112	100
28.99	3.080	45
29.68	3.010	12
30.12	2.967	11
31.97	2.800	14
41.02	2.200	35
51.02	1.790	16